Tb12CoSn6: calculated PXRD pattern (CuKα), based on DFT lattice parameters and positions (PBE).

Crystal structure
Lattice parameters (Å, degrees): 8.595 8.595 8.595 99.29 99.29 99.29
Fractional coordinates of all 19 atoms:
Tb 0.011 0.691 0.946
Tb 0.054 0.989 0.309
Tb 0.196 0.425 0.558
Tb 0.309 0.054 0.989
Tb 0.425 0.558 0.196
Tb 0.442 0.804 0.575
Tb 0.558 0.196 0.425
Tb 0.575 0.442 0.804
Tb 0.691 0.946 0.011
Tb 0.804 0.575 0.442
Tb 0.946 0.011 0.691
Tb 0.989 0.309 0.054
Co 0.000 0.000 0.000
Sn 0.121 0.642 0.311
Sn 0.311 0.121 0.642
Sn 0.358 0.689 0.879
Sn 0.642 0.311 0.121
Sn 0.689 0.879 0.358
Sn 0.879 0.358 0.689

Largest 8 diffraction maxima, most intense first, 15 to 90 degrees two-theta:
d_spacing	Position (°2θ)	intensity
2.799	31.98	100
2.492	36.04	79
2.956	30.23	59
2.476	36.29	55
2.395	37.55	49
4.047	21.96	44
3.513	25.36	44
3.275	27.23	26